This entry pairs a crystal structure of V2ZnP2O9 with its computed PXRD pattern. Radiation: Cu Kα. Structure: a DFT-relaxed cell (PBE+U, the Materials Project).

Structure:
```
data_V2ZnP2O9
_chemical_formula_sum 'V8 Zn4 P8 O36'
_cell_length_a 14.3250
_cell_length_b 6.3048
_cell_length_c 7.4456
_cell_angle_alpha 90.00
_cell_angle_beta 90.00
_cell_angle_gamma 90.00
_symmetry_space_group_name_H-M 'P n m a'
_symmetry_Int_Tables_number 62
loop_
_symmetry_equiv_pos_as_xyz
'x,y,z'
'-x,-y,-z'
'-x+1/2,-y,z+1/2'
'x+1/2,y,-z+1/2'
'x+1/2,-y+1/2,-z+1/2'
'-x+1/2,y+1/2,z+1/2'
'-x,y+1/2,-z'
'x,-y+1/2,z'
loop_
_atom_site_label
_atom_site_fract_x
_atom_site_fract_y
_atom_site_fract_z
_atom_site_occupancy
V1 0.0000 0.0000 0.0000 1
V2 0.1224 0.2500 0.3529 1
Zn1 0.2312 0.2500 0.9295 1
P1 0.0706 0.7500 0.3664 1
P2 0.1942 0.7500 0.8864 1
O1 0.0014 0.2500 0.4884 1
O2 0.0251 0.7500 0.1770 1
O3 0.0471 0.2500 0.1323 1
O4 0.1360 0.5391 0.8949 1
O5 0.1414 0.5623 0.3778 1
O6 0.2320 0.2500 0.5381 1
O7 0.2470 0.2500 0.2069 1
```

Most intense lines, 10 to 80 degrees two-theta, by intensity:
24.71°, d = 3.603 Å, intensity 100
28.31°, d = 3.152 Å, intensity 37
17.18°, d = 5.162 Å, intensity 27
31.44°, d = 2.845 Å, intensity 27
33.51°, d = 2.674 Å, intensity 25
30.99°, d = 2.885 Å, intensity 21
23.90°, d = 3.723 Å, intensity 20
36.50°, d = 2.462 Å, intensity 20
39.52°, d = 2.281 Å, intensity 20
27.64°, d = 3.227 Å, intensity 18
34.76°, d = 2.581 Å, intensity 17
58.56°, d = 1.576 Å, intensity 16